The following is a calculated powder XRD pattern of Li2Mg. It was derived from a DFT-relaxed cell (GGA-PBE, the Materials Project), using Cu Kα (λ = 1.5418 Å).
Neutral-atom scattering factors, no anomalous dispersion.

```
data_Li2Mg
_chemical_formula_sum 'Li8 Mg4'
_cell_length_a 11.342
_cell_length_b 3.100
_cell_length_c 7.290
_cell_angle_alpha 90.00
_cell_angle_beta 106.17
_cell_angle_gamma 90.00
_symmetry_space_group_name_H-M 'C 1 m 1'
_symmetry_Int_Tables_number 8
_symmetry_space_group_name_Hall 'C -2y'
loop_
_atom_site_label
_atom_site_type_symbol
_atom_site_fract_x
_atom_site_fract_y
_atom_site_fract_z
Li1 Li 0.000 0.000 0.000
Li2 Li 0.055 0.000 0.610
Li3 Li 0.168 0.500 0.334
Li4 Li 0.334 0.000 0.667
Mg1 Mg 0.218 0.500 0.936
Mg2 Mg 0.391 0.000 0.280
```

Peak list (6 most intense, 5 to 70 degrees two-theta, by intensity)
two_theta	I/Imax	(hkl)
38.15	100	3 1 0
17.63	73	2 0 -1
38.62	46	4 0 1
33.55	42	1 1 1
35.69	36	4 0 -2
12.64	33	0 0 1